For Fe2AgS3, DFT lattice parameters and positions (GGA-PBE) gives the computed powder X-ray diffraction pattern in this record (Cu Kα (λ = 1.5418 Å)).

Structure:
Cell lengths 6.340, 6.493, 12.388 Å; angles 90.00, 118.41, 90.00 degrees
Fractional positions:
Fe 0.013 0.124 0.329
Fe 0.013 0.376 0.829
Fe 0.334 0.611 0.998
Fe 0.334 0.889 0.498
Fe 0.666 0.111 0.502
Fe 0.666 0.389 0.002
Fe 0.987 0.624 0.171
Fe 0.987 0.876 0.671
Ag 0.330 0.101 0.169
Ag 0.330 0.399 0.669
Ag 0.670 0.601 0.331
Ag 0.670 0.899 0.831
S 0.031 0.711 0.829
S 0.031 0.789 0.329
S 0.282 0.715 0.147
S 0.282 0.785 0.647
S 0.335 0.219 0.489
S 0.335 0.281 0.989
S 0.665 0.719 0.011
S 0.665 0.781 0.511
S 0.718 0.215 0.353
S 0.718 0.285 0.853
S 0.969 0.211 0.671
S 0.969 0.289 0.171

Most intense lines, 5° ≤ 2θ ≤ 70°, low angle first:
25.2°, 3.536 Å, I 49; 25.9°, 3.436 Å, I 80; 27.8°, 3.208 Å, I 71; 28.2°, 3.168 Å, I 100; 28.7°, 3.112 Å, I 97; 28.8°, 3.097 Å, I 60; 50.9°, 1.794 Å, I 90; 51.1°, 1.787 Å, I 49



For BaEuDySnO6, DFT lattice parameters and positions (GGA-PBE) gives the computed powder X-ray diffraction pattern in this record (Cu Kα (λ = 1.5418 Å)).

Structure:
Cell lengths 8.418, 8.465, 8.470 Å; angles 90.00, 90.00, 90.00 degrees
Fractional positions:
Ba 0.250 0.250 0.250
Ba 0.250 0.750 0.750
Ba 0.750 0.250 0.250
Ba 0.750 0.750 0.750
Eu 0.250 0.250 0.750
Eu 0.250 0.750 0.250
Eu 0.750 0.250 0.750
Eu 0.750 0.750 0.250
Dy 0.000 0.000 0.000
Dy 0.000 0.500 0.500
Dy 0.500 0.000 0.500
Dy 0.500 0.500 0.000
Sn 0.000 0.000 0.500
Sn 0.000 0.500 0.000
Sn 0.500 0.000 0.000
Sn 0.500 0.500 0.500
O 0.033 0.018 0.259
O 0.033 0.482 0.241
O 0.060 0.741 0.031
O 0.060 0.759 0.469
O 0.241 0.058 0.544
O 0.241 0.442 0.956
O 0.259 0.058 0.956
O 0.259 0.442 0.544
O 0.440 0.741 0.469
O 0.440 0.759 0.031
O 0.467 0.018 0.241
O 0.467 0.482 0.259
O 0.533 0.518 0.741
O 0.533 0.982 0.759
O 0.560 0.241 0.969
O 0.560 0.259 0.531
O 0.741 0.558 0.456
O 0.741 0.942 0.044
O 0.759 0.558 0.044
O 0.759 0.942 0.456
O 0.940 0.241 0.531
O 0.940 0.259 0.969
O 0.967 0.518 0.759
O 0.967 0.982 0.741

Most intense lines, 5° ≤ 2θ ≤ 70°, low angle first:
18.2°, 4.879 Å, I 1; 29.9°, 2.988 Å, I 100; 42.7°, 2.117 Å, I 18; 43.0°, 2.105 Å, I 8; 53.0°, 1.727 Å, I 30; 53.2°, 1.722 Å, I 15; 62.0°, 1.497 Å, I 6; 62.2°, 1.492 Å, I 10



What did the second record say?
For BaEuDySnO6, DFT lattice parameters and positions (GGA-PBE) gives the computed powder X-ray diffraction pattern in this record (Cu Kα (λ = 1.5418 Å)).

Structure:
Cell lengths 8.418, 8.465, 8.470 Å; angles 90.00, 90.00, 90.00 degrees
Fractional positions:
Ba 0.250 0.250 0.250
Ba 0.250 0.750 0.750
Ba 0.750 0.250 0.250
Ba 0.750 0.750 0.750
Eu 0.250 0.250 0.750
Eu 0.250 0.750 0.250
Eu 0.750 0.250 0.750
Eu 0.750 0.750 0.250
Dy 0.000 0.000 0.000
Dy 0.000 0.500 0.500
Dy 0.500 0.000 0.500
Dy 0.500 0.500 0.000
Sn 0.000 0.000 0.500
Sn 0.000 0.500 0.000
Sn 0.500 0.000 0.000
Sn 0.500 0.500 0.500
O 0.033 0.018 0.259
O 0.033 0.482 0.241
O 0.060 0.741 0.031
O 0.060 0.759 0.469
O 0.241 0.058 0.544
O 0.241 0.442 0.956
O 0.259 0.058 0.956
O 0.259 0.442 0.544
O 0.440 0.741 0.469
O 0.440 0.759 0.031
O 0.467 0.018 0.241
O 0.467 0.482 0.259
O 0.533 0.518 0.741
O 0.533 0.982 0.759
O 0.560 0.241 0.969
O 0.560 0.259 0.531
O 0.741 0.558 0.456
O 0.741 0.942 0.044
O 0.759 0.558 0.044
O 0.759 0.942 0.456
O 0.940 0.241 0.531
O 0.940 0.259 0.969
O 0.967 0.518 0.759
O 0.967 0.982 0.741

Most intense lines, 5° ≤ 2θ ≤ 70°, low angle first:
18.2°, 4.879 Å, I 1; 29.9°, 2.988 Å, I 100; 42.7°, 2.117 Å, I 18; 43.0°, 2.105 Å, I 8; 53.0°, 1.727 Å, I 30; 53.2°, 1.722 Å, I 15; 62.0°, 1.497 Å, I 6; 62.2°, 1.492 Å, I 10